Simulated XRD peak list of LiHo4Ru2 for copper Kα, from a structure optimized by DFT (GGA-PBE).
Peak positions follow from Bragg's law for the DFT cell and can differ from measured ones.

Crystal structure
```
LiHo4Ru2
1.0
6.8029 0.0000 0.0000
0.2991 6.8639 0.0000
3.1995 0.0627 7.0705
Li Ho Ru
2 8 4
Direct
0.0000 0.0000 0.0000
0.4709 0.0037 0.0492
0.0591 0.2435 0.2951
0.1304 0.7185 0.2809
0.3457 0.7018 0.7856
0.4001 0.2248 0.7166
0.5850 0.3386 0.2423
0.6151 0.8067 0.3308
0.8622 0.7496 0.7600
0.8827 0.2723 0.7611
0.2227 0.9990 0.5290
0.2293 0.5016 0.5304
0.7354 0.5045 0.5161
0.9834 0.5079 0.0231
```

Most intense lines, 2θ = 5–70°, low angle first:
| d/Å | Rel. int. | hkl |
| --- | --- | --- |
| 7.070 | 304 | 0 0 1 |
| 6.864 | 242 | 0 1 0 |
| 3.535 | 340 | 0 0 2 |
| 3.432 | 268 | 0 2 0 |
| 3.396 | 350 | 2 0 1 |
| 2.486 | 571 | 2 0 -1 |
| 2.471 | 1000 | 2 2 1 |
| 2.452 | 490 | 0 2 -2 |
| 2.415 | 481 | 2 0 3 |
| 2.363 | 415 | 2 -2 1 |